[1]
RuPb: computed powder XRD pattern (CuKα), based on a DFT-relaxed cell (GGA-PBE, Alexandria).
Peak positions follow from Bragg's law for the DFT cell and can differ from measured ones.

Peak list (6 most intense, 10 to 80 degrees two-theta, by intensity)
2θ (°)	d_spacing	I_rel
27.4	3.251	100.0
43.1	2.101	53.8
37.1	2.421	39.7
34.8	2.578	28.9
36.8	2.443	26.7
58.3	1.584	25.6

Atomic structure:
Lattice parameters (Å, degrees): 3.627 3.627 7.328 90.00 90.00 90.00
Space group P4/nmm (No. 129, origin choice 2)
One atom of each set of equivalent atoms:
Ru1 0.250 0.750 0.000
Pb1 0.250 0.250 0.309

---

[2]
ScBeCr: computed powder XRD pattern (CuKα), based on a DFT-relaxed cell (GGA-PBE, Alexandria).
Peak positions follow from Bragg's law for the DFT cell and can differ from measured ones.

Peak list (6 most intense, 10 to 80 degrees two-theta, by intensity)
2θ (°)	d_spacing	I_rel
35.4	2.534	100.0
31.3	2.859	83.6
23.3	3.819	73.7
48.5	1.878	61.9
46.2	1.967	58.7
43.5	2.082	50.5

Atomic structure:
Lattice parameters (Å, degrees): 4.164 9.579 4.314 90.00 90.00 90.00
Space group Cmc2_1 (No. 36)
One atom of each set of equivalent atoms:
Sc1 0.000 0.214 0.000
Be1 0.000 0.054 0.511
Cr1 0.000 0.484 0.269